No. 1
# SnP6W3O24
Computed powder diffractogram, Cu Kα, 1.54184 Å. Input: DFT lattice parameters and positions (GGA+U).
Peak positions follow from Bragg's law for the DFT cell and can differ from measured ones.

Structural model:
Lattice parameters (Å, degrees): 8.8551 8.8551 21.5903 90.00 90.00 120.00
Space group R3 (No. 146, hexagonal axes)
Asymmetric unit:
Sn (0.0000, 0.0000, 0.0000)
P (0.0016, 0.7129, 0.6114)
P (0.0460, 0.3786, 0.7773)
W (0.0000, 0.0000, 0.2219)
W (0.0000, 0.0000, 0.5015)
W (0.0000, 0.0000, 0.7211)
O (0.0093, 0.8178, 0.5526)
O (0.0174, 0.2033, 0.0515)
O (0.0233, 0.1931, 0.7743)
O (0.0297, 0.8294, 0.2775)
O (0.1500, 0.4654, 0.8358)
O (0.1507, 0.6767, 0.3370)
O (0.1604, 0.4736, 0.1150)
O (0.1678, 0.7012, 0.6106)

Main lines, sorted by position (15° ≤ 2θ ≤ 90°):
two_theta	I (rel.)
20.09	1000
23.59	149
28.56	292
32.05	166
35.13	376
45.90	225
48.26	69
52.88	81
54.87	198
63.02	87

---

No. 2
# Sn3P6WO24
Computed powder diffractogram, Cu Kα, 1.54184 Å. Input: DFT lattice parameters and positions (GGA+U).
Peak positions follow from Bragg's law for the DFT cell and can differ from measured ones.

Structural model:
Lattice parameters (Å, degrees): 8.7705 8.7705 22.3358 90.00 90.00 120.00
Space group R3 (No. 146, hexagonal axes)
Asymmetric unit:
Sn (0.0000, 0.0000, 0.0000)
Sn (0.0000, 0.0000, 0.2153)
Sn (0.0000, 0.0000, 0.7153)
P (0.9999, 0.2877, 0.6088)
P (0.0481, 0.6691, 0.7751)
W (0.0000, 0.0000, 0.5012)
O (0.0203, 0.8264, 0.7703)
O (0.0209, 0.1893, 0.5522)
O (0.0301, 0.1994, 0.2686)
O (0.0378, 0.8248, 0.0519)
O (0.1536, 0.6925, 0.8318)
O (0.1568, 0.4621, 0.3313)
O (0.1668, 0.6918, 0.1187)
O (0.1691, 0.4666, 0.6106)

Main lines, sorted by position (15° ≤ 2θ ≤ 90°):
two_theta	I (rel.)
19.73	1000
20.25	791
23.55	394
28.42	592
31.52	427
35.15	341
35.46	285
46.05	204
51.86	214
55.44	209

---

No. 3
# SrV2P2O10
Computed powder diffractogram, Cu Kα, 1.54184 Å. Input: DFT lattice parameters and positions (GGA+U).
Peak positions follow from Bragg's law for the DFT cell and can differ from measured ones.

Structural model:
Lattice parameters (Å, degrees): 7.042 7.042 8.906 102.45 102.45 117.06
Space group P1 (No. 1)
Asymmetric unit:
Sr (0.000, 0.000, 0.000)
Sr (0.249, 0.750, 0.501)
V (0.163, 0.396, 0.767)
V (0.635, 0.411, 0.244)
V (0.641, 0.919, 0.268)
V (0.653, 0.380, 0.738)
P (0.060, 0.558, 0.089)
P (0.226, 0.216, 0.422)
P (0.473, 0.977, 0.927)
P (0.799, 0.796, 0.580)
O (0.014, 0.029, 0.704)
O (0.094, 0.386, 0.977)
O (0.186, 0.389, 0.533)
O (0.263, 0.726, 0.808)
O (0.297, 0.767, 0.203)
O (0.333, 0.314, 0.305)
O (0.370, 0.156, 0.540)
O (0.408, 0.111, 0.032)
O (0.425, 0.432, 0.833)
O (0.576, 0.093, 0.807)
O (0.600, 0.591, 0.178)
O (0.628, 0.830, 0.470)
O (0.639, 0.927, 0.037)
O (0.682, 0.180, 0.330)
O (0.697, 0.671, 0.693)
O (0.841, 0.345, 0.675)
O (0.859, 0.655, 0.466)
O (0.907, 0.605, 0.967)
O (0.932, 0.459, 0.199)
O (0.986, 0.011, 0.307)

Main lines, sorted by position (15° ≤ 2θ ≤ 90°):
two_theta	I (rel.)
21.70	485
25.93	856
28.46	694
30.57	308
31.03	1000
36.21	477
39.86	214
40.34	219
52.04	299
54.83	241